No. 1
Starting from a structure optimized by DFT (GGA-PBE), the powder diffractogram of TmGePd was computed for Cu Kα.

Crystal structure
Cell lengths 5.6228, 5.6228, 6.9205 Å; angles 127.86, 127.86, 45.63 degrees
Fractional coordinates of all 6 atoms:
Tm 0.0430 0.0430 0.2826
Tm 0.9570 0.9570 0.7174
Ge 0.3404 0.3404 0.2886
Ge 0.6596 0.6596 0.7114
Pd 0.3225 0.3225 0.8712
Pd 0.6775 0.6775 0.1288

The 10 most intense peaks (15° ≤ 2θ ≤ 90°), by angle:
2θ 23.42, I = 13.5
2θ 33.59, I = 41.0
2θ 34.79, I = 46.6
2θ 35.08, I = 100.0
2θ 40.66, I = 53.8
2θ 40.83, I = 18.7
2θ 41.42, I = 36.0
2θ 55.17, I = 24.9
2θ 66.74, I = 12.9
2θ 71.44, I = 12.8



No. 2
Starting from a structure optimized by DFT (GGA-PBE), the powder diffractogram of Cs3ScI6 was computed for Cu Kα.

Crystal structure
Cell lengths 9.2294, 9.2294, 9.2294 Å; angles 60.00, 60.00, 60.00 degrees
Fractional coordinates of all 10 atoms:
Cs 0.0000 0.0000 0.0000
Cs 0.2500 0.2500 0.2500
Cs 0.7500 0.7500 0.7500
Sc 0.5000 0.5000 0.5000
I 0.2780 0.2780 0.7220
I 0.2780 0.7220 0.2780
I 0.2780 0.7220 0.7220
I 0.7220 0.2780 0.2780
I 0.7220 0.2780 0.7220
I 0.7220 0.7220 0.2780

The 10 most intense peaks (15° ≤ 2θ ≤ 90°), by angle:
2θ 19.23, I = 17.2
2θ 23.61, I = 94.7
2θ 27.33, I = 100.0
2θ 29.84, I = 21.5
2θ 35.75, I = 16.9
2θ 39.04, I = 68.1
2θ 46.13, I = 34.2
2θ 48.31, I = 21.7
2θ 53.96, I = 16.6
2θ 63.78, I = 23.3



No. 3
Starting from a structure optimized by DFT (GGA-PBE), the powder diffractogram of SmAsRuO was computed for Cu Kα.

Crystal structure
Cell lengths 4.1185, 4.1185, 8.1548 Å; angles 90.00, 90.00, 90.00 degrees
Fractional coordinates of all 8 atoms:
Sm 0.2500 0.2500 0.1345
Sm 0.7500 0.7500 0.8655
As 0.2500 0.2500 0.6607
As 0.7500 0.7500 0.3393
Ru 0.2500 0.7500 0.5000
Ru 0.7500 0.2500 0.5000
O 0.2500 0.7500 0.0000
O 0.7500 0.2500 0.0000

The 10 most intense peaks (15° ≤ 2θ ≤ 90°), by angle:
2θ 30.70, I = 12.0
2θ 30.86, I = 100.0
2θ 32.65, I = 37.6
2θ 37.97, I = 35.0
2θ 43.97, I = 47.1
2θ 54.68, I = 39.6
2θ 54.98, I = 39.2
2θ 63.94, I = 15.1
2θ 72.66, I = 10.7
2θ 89.24, I = 20.1



No. 4
Starting from a structure optimized by DFT (GGA-PBE), the powder diffractogram of CuH8C2NCl3 was computed for Cu Kα.

Crystal structure
Cell lengths 9.9360, 9.9360, 12.1492 Å; angles 121.00, 121.00, 52.40 degrees
Fractional coordinates of all 60 atoms:
Cu 0.0816 0.8493 0.5790
Cu 0.1507 0.9184 0.9210
Cu 0.8493 0.0816 0.0790
Cu 0.9184 0.1507 0.4210
H 0.1104 0.3300 0.6339
H 0.1202 0.5001 0.7919
H 0.1248 0.5515 0.2343
H 0.1366 0.4164 0.0653
H 0.2344 0.5623 0.1629
H 0.2650 0.2705 0.7864
H 0.2670 0.4562 0.6571
H 0.2705 0.2650 0.2864
H 0.3300 0.1104 0.1339
H 0.3867 0.4485 0.8101
H 0.4164 0.1366 0.5653
H 0.4377 0.7656 0.3371
H 0.4485 0.3867 0.3101
H 0.4485 0.8752 0.2657
H 0.4562 0.2670 0.1571
H 0.5001 0.1202 0.2919
H 0.4999 0.8798 0.7081
H 0.5438 0.7330 0.8429
H 0.5515 0.1248 0.7343
H 0.5515 0.6133 0.6899
H 0.5623 0.2344 0.6629
H 0.5836 0.8634 0.4347
H 0.6133 0.5515 0.1899
H 0.6700 0.8896 0.8661
H 0.7295 0.7350 0.7136
H 0.7330 0.5438 0.3429
H 0.7350 0.7295 0.2136
H 0.7656 0.4377 0.8371
H 0.8634 0.5836 0.9347
H 0.8752 0.4485 0.7657
H 0.8798 0.4999 0.2081
H 0.8896 0.6700 0.3661
C 0.1974 0.3670 0.7333
C 0.2050 0.4749 0.1663
C 0.3670 0.1974 0.2333
C 0.4749 0.2050 0.6663
C 0.5251 0.7950 0.3337
C 0.6330 0.8026 0.7667
C 0.7950 0.5251 0.8337
C 0.8026 0.6330 0.2667
N 0.3305 0.3774 0.7184
N 0.3774 0.3305 0.2184
N 0.6226 0.6695 0.7816
N 0.6695 0.6226 0.2816
Cl 0.0376 0.2029 0.3394
Cl 0.0865 0.8160 0.0133
Cl 0.1840 0.9135 0.4867
Cl 0.2029 0.0376 0.8394
Cl 0.3053 0.5641 0.5484
Cl 0.4359 0.6947 0.9516
Cl 0.5641 0.3053 0.0484
Cl 0.6947 0.4359 0.4516
Cl 0.7971 0.9624 0.1606
Cl 0.8160 0.0865 0.5133
Cl 0.9135 0.1840 0.9867
Cl 0.9624 0.7971 0.6606

The 10 most intense peaks (15° ≤ 2θ ≤ 90°), by angle:
2θ 18.09, I = 27.8
2θ 20.87, I = 32.7
2θ 26.87, I = 100.0
2θ 31.48, I = 24.9
2θ 33.64, I = 33.7
2θ 41.16, I = 20.0
2θ 41.28, I = 24.0
2θ 45.21, I = 22.5
2θ 49.84, I = 23.5
2θ 54.16, I = 19.3



No. 5
Starting from a structure optimized by DFT (GGA-PBE), the powder diffractogram of BaNaH6Ir was computed for Cu Kα.

Crystal structure
Cell lengths 5.5473, 5.5473, 5.5473 Å; angles 60.00, 60.00, 60.00 degrees
Fractional coordinates of all 9 atoms:
Ba 0.0000 0.0000 0.0000
Na 0.5000 0.5000 0.5000
H 0.0350 0.0350 0.4650
H 0.0350 0.4650 0.0350
H 0.0350 0.4650 0.4650
H 0.4650 0.0350 0.0350
H 0.4650 0.0350 0.4650
H 0.4650 0.4650 0.0350
Ir 0.2500 0.2500 0.2500

The 10 most intense peaks (15° ≤ 2θ ≤ 90°), by angle:
2θ 19.60, I = 93.1
2θ 32.27, I = 100.0
2θ 38.04, I = 51.4
2θ 46.29, I = 19.2
2θ 50.72, I = 22.5
2θ 57.56, I = 38.5
2θ 61.41, I = 17.4
2θ 67.54, I = 12.2
2θ 71.09, I = 17.1
2θ 76.85, I = 16.7



No. 6
Starting from a structure optimized by DFT (GGA-PBE), the powder diffractogram of Sr3Co3N5 was computed for Cu Kα.

Crystal structure
Cell lengths 5.6262, 7.5273, 8.4267 Å; angles 110.68, 103.92, 99.66 degrees
Fractional coordinates of all 22 atoms:
Sr 0.1665 0.3550 0.3854
Sr 0.1984 0.1859 0.7286
Sr 0.2720 0.9270 0.0961
Sr 0.7280 0.0730 0.9039
Sr 0.8016 0.8141 0.2714
Sr 0.8335 0.6450 0.6146
Co 0.1758 0.4767 0.0881
Co 0.4059 0.8227 0.4863
Co 0.4168 0.6223 0.8028
Co 0.5832 0.3777 0.1972
Co 0.5941 0.1773 0.5137
Co 0.8242 0.5233 0.9119
N 0.1641 0.5476 0.8946
N 0.2320 0.2272 0.0540
N 0.2587 0.0055 0.4123
N 0.3186 0.7510 0.6564
N 0.4346 0.5974 0.3093
N 0.5654 0.4026 0.6907
N 0.6814 0.2490 0.3436
N 0.7413 0.9945 0.5877
N 0.7680 0.7728 0.9460
N 0.8359 0.4524 0.1054

The 10 most intense peaks (15° ≤ 2θ ≤ 90°), by angle:
2θ 30.32, I = 72.3
2θ 32.10, I = 81.9
2θ 33.15, I = 57.4
2θ 33.29, I = 83.2
2θ 34.19, I = 25.8
2θ 34.55, I = 100.0
2θ 37.25, I = 49.2
2θ 39.63, I = 19.5
2θ 40.19, I = 31.8
2θ 48.95, I = 18.5



No. 7
Starting from a structure optimized by DFT (GGA-PBE), the powder diffractogram of Se2NCl3 was computed for Cu Kα.

Crystal structure
Cell lengths 9.5939, 9.7795, 7.8820 Å; angles 90.00, 93.40, 90.00 degrees
Fractional coordinates of all 24 atoms:
Se 0.1830 0.1151 0.0507
Se 0.1830 0.3849 0.5507
Se 0.2148 0.5298 0.8922
Se 0.2148 0.9702 0.3922
Se 0.7852 0.0298 0.6078
Se 0.7852 0.4702 0.1078
Se 0.8170 0.6151 0.4493
Se 0.8170 0.8849 0.9493
N 0.2762 0.0009 0.1892
N 0.2762 0.4991 0.6892
N 0.7238 0.5009 0.3108
N 0.7238 0.9991 0.8108
Cl 0.0085 0.1468 0.2948
Cl 0.0085 0.3532 0.7948
Cl 0.3323 0.0957 0.8431
Cl 0.3323 0.4043 0.3431
Cl 0.3832 0.6745 0.9751
Cl 0.3832 0.8255 0.4751
Cl 0.6168 0.1745 0.5249
Cl 0.6168 0.3255 0.0249
Cl 0.6677 0.5957 0.6569
Cl 0.6677 0.9043 0.1569
Cl 0.9915 0.6468 0.2052
Cl 0.9915 0.8532 0.7052

The 10 most intense peaks (15° ≤ 2θ ≤ 90°), by angle:
2θ 16.81, I = 28.2
2θ 17.53, I = 16.4
2θ 18.14, I = 17.7
2θ 18.53, I = 35.7
2θ 23.06, I = 21.2
2θ 23.61, I = 100.0
2θ 26.05, I = 25.6
2θ 29.96, I = 16.9
2θ 36.16, I = 27.5
2θ 41.72, I = 18.0



No. 8
Starting from a structure optimized by DFT (GGA-PBE), the powder diffractogram of ErMg3 was computed for Cu Kα.

Crystal structure
Cell lengths 5.1629, 5.1629, 5.1629 Å; angles 60.00, 60.00, 60.00 degrees
Fractional coordinates of all 4 atoms:
Er 0.0000 0.0000 0.0000
Mg 0.2500 0.2500 0.2500
Mg 0.5000 0.5000 0.5000
Mg 0.7500 0.7500 0.7500

The 10 most intense peaks (15° ≤ 2θ ≤ 90°), by angle:
2θ 21.08, I = 76.5
2θ 24.38, I = 40.6
2θ 34.75, I = 100.0
2θ 41.00, I = 42.1
2θ 49.97, I = 17.7
2θ 54.80, I = 18.3
2θ 56.35, I = 16.8
2θ 62.30, I = 36.2
2θ 66.55, I = 13.7
2θ 83.79, I = 15.5



No. 9
Starting from a structure optimized by DFT (GGA-PBE), the powder diffractogram of TiN3F6 was computed for Cu Kα.

Crystal structure
Cell lengths 5.6330, 5.6330, 5.6330 Å; angles 60.00, 60.00, 60.00 degrees
Fractional coordinates of all 10 atoms:
Ti 0.0000 0.0000 0.0000
N 0.2500 0.2500 0.2500
N 0.5000 0.5000 0.5000
N 0.7500 0.7500 0.7500
F 0.2392 0.2392 0.7608
F 0.2392 0.7608 0.2392
F 0.2392 0.7608 0.7608
F 0.7608 0.2392 0.2392
F 0.7608 0.2392 0.7608
F 0.7608 0.7608 0.2392

The 10 most intense peaks (15° ≤ 2θ ≤ 90°), by angle:
2θ 19.30, I = 58.5
2θ 22.32, I = 100.0
2θ 31.77, I = 35.7
2θ 37.44, I = 17.6
2θ 39.17, I = 34.8
2θ 45.55, I = 94.7
2θ 51.29, I = 33.7
2θ 66.38, I = 45.1
2θ 70.99, I = 13.4
2θ 84.21, I = 12.9